This entry pairs a crystal structure of Na2MnPCO7 with its computed powder diffraction line list. Radiation: Cu Kα, 1.54184 Å. Structure: the GGA+U geometry in the Materials Project.
Intensities are scaled so that the largest is 100.

Structure:
a = 5.237 Å, b = 11.183 Å, c = 11.205 Å
α = 73.61°, β = 88.79°, γ = 89.07°
Atoms (fractional coordinates):
Na 0.000 0.000 0.000
Na 0.000 0.249 0.764
Na 0.005 0.519 0.483
Na 0.014 0.016 0.300
Na 0.486 0.499 0.995
Na 0.487 0.737 0.756
Na 0.489 0.250 0.253
Na 0.489 0.999 0.505
Mn 0.021 0.428 0.178
Mn 0.023 0.922 0.685
Mn 0.460 0.323 0.575
Mn 0.464 0.815 0.083
P 0.530 0.034 0.797
P 0.536 0.539 0.290
P 0.946 0.709 0.967
P 0.952 0.209 0.462
C 0.515 0.458 0.713
C 0.522 0.969 0.217
C 0.969 0.787 0.545
C 0.970 0.286 0.042
O 0.007 0.752 0.826
O 0.017 0.569 0.015
O 0.019 0.068 0.506
O 0.019 0.252 0.321
O 0.080 0.789 0.036
O 0.091 0.284 0.538
O 0.185 0.326 0.078
O 0.188 0.824 0.582
O 0.296 0.422 0.677
O 0.313 0.925 0.182
O 0.395 0.957 0.720
O 0.398 0.464 0.213
O 0.453 0.172 0.751
O 0.456 0.494 0.428
O 0.467 0.981 0.938
O 0.483 0.680 0.239
O 0.500 0.037 0.292
O 0.525 0.526 0.783
O 0.643 0.722 0.982
O 0.654 0.225 0.480
O 0.712 0.412 0.666
O 0.736 0.939 0.176
O 0.766 0.329 0.085
O 0.771 0.835 0.590
O 0.829 0.022 0.777
O 0.831 0.510 0.282
O 0.959 0.720 0.475
O 0.972 0.213 0.975

Largest 6 diffraction maxima, low angle first, 10 to 90 degrees two-theta:
Position (°2θ)	I/Imax	hkl
16.51	75	0 2 0
25.87	67	1 2 2
26.59	97	0 2 -2
33.39	88	0 4 0
34.24	100	2 0 0
48.90	44	0 2 6

=====

This entry pairs a crystal structure of Na5Mn2P2C2O14 with its computed powder diffraction line list. Radiation: Cu Kα, 1.54184 Å. Structure: the GGA+U geometry in the Materials Project.
Intensities are scaled so that the largest is 100.

Structure:
a = 5.228 Å, b = 11.224 Å, c = 11.244 Å
α = 73.56°, β = 89.48°, γ = 89.33°
Atoms (fractional coordinates):
Na 0.241 0.114 0.125
Na 0.243 0.586 0.334
Na 0.244 0.882 0.370
Na 0.246 0.372 0.876
Na 0.250 0.629 0.628
Na 0.750 0.371 0.372
Na 0.754 0.628 0.124
Na 0.756 0.118 0.630
Na 0.757 0.414 0.666
Na 0.759 0.886 0.875
Mn 0.219 0.191 0.447
Mn 0.223 0.700 0.945
Mn 0.777 0.300 0.055
Mn 0.781 0.809 0.553
P 0.295 0.916 0.668
P 0.299 0.416 0.164
P 0.701 0.584 0.836
P 0.705 0.084 0.332
C 0.266 0.346 0.594
C 0.276 0.837 0.088
C 0.724 0.163 0.912
C 0.734 0.654 0.406
O 0.043 0.317 0.560
O 0.060 0.799 0.050
O 0.165 0.341 0.088
O 0.181 0.837 0.588
O 0.205 0.864 0.806
O 0.207 0.053 0.620
O 0.230 0.374 0.303
O 0.230 0.558 0.118
O 0.271 0.904 0.162
O 0.283 0.418 0.666
O 0.401 0.598 0.851
O 0.406 0.092 0.337
O 0.472 0.304 0.553
O 0.481 0.797 0.045
O 0.519 0.203 0.955
O 0.528 0.696 0.447
O 0.594 0.908 0.663
O 0.599 0.402 0.149
O 0.717 0.582 0.334
O 0.729 0.096 0.838
O 0.770 0.442 0.882
O 0.770 0.626 0.697
O 0.793 0.947 0.380
O 0.795 0.136 0.194
O 0.819 0.163 0.412
O 0.835 0.659 0.912
O 0.940 0.201 0.950
O 0.957 0.683 0.440

Largest 6 diffraction maxima, low angle first, 10 to 90 degrees two-theta:
Position (°2θ)	I/Imax	hkl
16.45	38	0 0 2
25.96	46	1 2 2
26.50	81	0 2 -2
33.14	46	1 3 -1
33.27	92	0 4 0
34.30	100	2 0 0

=====

This entry pairs a crystal structure of NaMnPCO7 with its computed powder diffraction line list. Radiation: Cu Kα, 1.54184 Å. Structure: the GGA+U geometry in the Materials Project.
Intensities are scaled so that the largest is 100.

Structure:
a = 9.204 Å, b = 6.232 Å, c = 10.500 Å
α = 90.00°, β = 92.63°, γ = 90.00°
Atoms (fractional coordinates):
Na 0.238 0.038 0.379
Na 0.238 0.462 0.879
Na 0.762 0.538 0.121
Na 0.762 0.962 0.621
Mn 0.345 0.746 0.608
Mn 0.345 0.754 0.108
Mn 0.655 0.246 0.892
Mn 0.655 0.254 0.392
P 0.435 0.248 0.638
P 0.435 0.252 0.138
P 0.565 0.748 0.862
P 0.565 0.752 0.362
C 0.085 0.746 0.636
C 0.085 0.754 0.136
C 0.915 0.246 0.864
C 0.915 0.254 0.364
O 0.047 0.243 0.848
O 0.047 0.257 0.348
O 0.146 0.745 0.025
O 0.146 0.755 0.525
O 0.187 0.740 0.730
O 0.187 0.760 0.230
O 0.333 0.059 0.109
O 0.333 0.441 0.609
O 0.335 0.055 0.602
O 0.335 0.445 0.102
O 0.426 0.747 0.937
O 0.426 0.753 0.437
O 0.477 0.249 0.783
O 0.477 0.251 0.283
O 0.523 0.749 0.717
O 0.523 0.751 0.217
O 0.574 0.247 0.563
O 0.574 0.253 0.063
O 0.665 0.555 0.898
O 0.665 0.945 0.398
O 0.667 0.559 0.391
O 0.667 0.941 0.891
O 0.813 0.240 0.770
O 0.813 0.260 0.270
O 0.854 0.245 0.475
O 0.854 0.255 0.975
O 0.953 0.743 0.652
O 0.953 0.757 0.152

Largest 6 diffraction maxima, low angle first, 10 to 90 degrees two-theta:
Position (°2θ)	I/Imax	hkl
17.19	100	1 1 0
19.09	52	1 0 -2
19.87	62	1 0 2
22.15	46	0 1 2
25.17	77	2 0 -2
28.65	89	0 2 0

=====

This entry pairs a crystal structure of Na2MnPCO7 with its computed powder diffraction line list. Radiation: Cu Kα, 1.54184 Å. Structure: the GGA+U geometry in the Materials Project.
Intensities are scaled so that the largest is 100.

Structure:
a = 5.234 Å, b = 6.641 Å, c = 9.005 Å
α = 90.00°, β = 91.26°, γ = 90.00°
Atoms (fractional coordinates):
Na 0.232 0.006 0.265
Na 0.232 0.494 0.265
Na 0.768 0.506 0.735
Na 0.768 0.994 0.735
Mn 0.224 0.250 0.858
Mn 0.776 0.750 0.142
P 0.293 0.750 0.925
P 0.707 0.250 0.075
C 0.280 0.250 0.579
C 0.720 0.750 0.421
O 0.065 0.250 0.655
O 0.169 0.750 0.079
O 0.216 0.561 0.834
O 0.216 0.939 0.834
O 0.275 0.250 0.440
O 0.405 0.250 0.052
O 0.483 0.250 0.664
O 0.517 0.750 0.336
O 0.595 0.750 0.948
O 0.725 0.750 0.560
O 0.784 0.061 0.166
O 0.784 0.439 0.166
O 0.831 0.250 0.921
O 0.935 0.750 0.345

Largest 6 diffraction maxima, low angle first, 10 to 90 degrees two-theta:
Position (°2θ)	I/Imax	hkl
16.59	98	0 1 1
25.82	98	1 0 -2
26.85	82	0 2 0
33.36	53	1 2 -1
33.56	100	0 2 2
34.27	83	2 0 0

=====

This entry pairs a crystal structure of NaMnPCO7 with its computed powder diffraction line list. Radiation: Cu Kα, 1.54184 Å. Structure: the GGA+U geometry in the Materials Project.
Intensities are scaled so that the largest is 100.

Structure:
a = 5.246 Å, b = 6.248 Å, c = 18.363 Å
α = 90.00°, β = 92.48°, γ = 90.00°
Atoms (fractional coordinates):
Na 0.241 0.028 0.381
Na 0.241 0.472 0.881
Na 0.759 0.528 0.119
Na 0.759 0.972 0.619
Mn 0.217 0.233 0.172
Mn 0.217 0.267 0.672
Mn 0.783 0.733 0.328
Mn 0.783 0.767 0.828
P 0.278 0.740 0.217
P 0.278 0.760 0.717
P 0.722 0.240 0.283
P 0.722 0.260 0.783
C 0.274 0.245 0.042
C 0.274 0.255 0.542
C 0.726 0.745 0.458
C 0.726 0.755 0.958
O 0.051 0.242 0.073
O 0.051 0.258 0.573
O 0.126 0.747 0.287
O 0.126 0.753 0.787
O 0.208 0.546 0.167
O 0.208 0.954 0.667
O 0.214 0.570 0.666
O 0.214 0.930 0.166
O 0.306 0.248 0.476
O 0.306 0.252 0.976
O 0.432 0.232 0.262
O 0.432 0.268 0.762
O 0.461 0.242 0.093
O 0.461 0.258 0.593
O 0.539 0.742 0.407
O 0.539 0.758 0.907
O 0.568 0.732 0.238
O 0.568 0.768 0.738
O 0.694 0.748 0.024
O 0.694 0.752 0.524
O 0.786 0.070 0.834
O 0.786 0.430 0.334
O 0.792 0.046 0.333
O 0.792 0.454 0.833
O 0.874 0.247 0.213
O 0.874 0.253 0.713
O 0.949 0.742 0.427
O 0.949 0.758 0.927

Largest 6 diffraction maxima, low angle first, 10 to 90 degrees two-theta:
Position (°2θ)	I/Imax	hkl
17.17	100	0 1 2
19.14	49	1 0 -2
19.87	59	1 0 2
22.14	41	1 1 0
25.24	69	1 0 -4
28.57	82	0 2 0

=====

This entry pairs a crystal structure of NaMnPCO7 with its computed powder diffraction line list. Radiation: Cu Kα, 1.54184 Å. Structure: the GGA+U geometry in the Materials Project.
Intensities are scaled so that the largest is 100.

Structure:
a = 8.106 Å, b = 8.124 Å, c = 10.336 Å
α = 107.50°, β = 107.51°, γ = 100.47°
Atoms (fractional coordinates):
Na 0.025 0.485 0.255
Na 0.267 0.226 0.746
Na 0.733 0.774 0.254
Na 0.975 0.515 0.745
Mn 0.069 0.820 0.156
Mn 0.444 0.694 0.839
Mn 0.556 0.306 0.161
Mn 0.931 0.180 0.844
P 0.201 0.948 0.930
P 0.303 0.551 0.067
P 0.697 0.449 0.933
P 0.799 0.052 0.070
C 0.225 0.969 0.422
C 0.281 0.525 0.576
C 0.719 0.475 0.424
C 0.775 0.031 0.578
O 0.072 0.821 0.969
O 0.079 0.825 0.356
O 0.090 0.033 0.831
O 0.158 0.404 0.923
O 0.198 0.439 0.443
O 0.214 0.658 0.164
O 0.236 0.482 0.679
O 0.271 0.828 0.825
O 0.272 0.017 0.325
O 0.306 0.046 0.556
O 0.348 0.091 0.071
O 0.418 0.475 0.170
O 0.422 0.668 0.637
O 0.430 0.678 0.027
O 0.570 0.322 0.973
O 0.578 0.332 0.363
O 0.582 0.525 0.830
O 0.652 0.909 0.929
O 0.694 0.954 0.444
O 0.728 0.983 0.675
O 0.729 0.172 0.175
O 0.764 0.518 0.321
O 0.786 0.342 0.836
O 0.802 0.561 0.557
O 0.842 0.596 0.077
O 0.910 0.967 0.169
O 0.921 0.175 0.644
O 0.928 0.179 0.031

Largest 6 diffraction maxima, low angle first, 10 to 90 degrees two-theta:
Position (°2θ)	I/Imax	hkl
17.22	98	-1 1 1
19.38	59	1 1 0
19.99	60	1 1 -2
22.29	52	2 0 -1
25.54	75	1 1 1
28.62	100	2 -2 0

=====

This entry pairs a crystal structure of NaMnPCO7 with its computed powder diffraction line list. Radiation: Cu Kα, 1.54184 Å. Structure: the GGA+U geometry in the Materials Project.
Intensities are scaled so that the largest is 100.

Structure:
a = 10.301 Å, b = 6.244 Å, c = 10.439 Å
α = 90.00°, β = 118.45°, γ = 90.00°
Atoms (fractional coordinates):
Na 0.241 0.030 0.494
Na 0.241 0.470 0.994
Na 0.759 0.530 0.006
Na 0.759 0.970 0.506
Mn 0.342 0.748 0.312
Mn 0.342 0.752 0.812
Mn 0.658 0.248 0.188
Mn 0.658 0.252 0.688
P 0.433 0.250 0.326
P 0.433 0.250 0.826
P 0.567 0.750 0.174
P 0.567 0.750 0.674
C 0.077 0.741 0.653
C 0.077 0.759 0.153
C 0.923 0.241 0.847
C 0.923 0.259 0.347
O 0.057 0.237 0.929
O 0.057 0.263 0.429
O 0.141 0.740 0.797
O 0.141 0.760 0.297
O 0.179 0.749 0.609
O 0.179 0.751 0.109
O 0.328 0.058 0.800
O 0.328 0.442 0.300
O 0.333 0.057 0.313
O 0.333 0.443 0.813
O 0.426 0.749 0.527
O 0.426 0.751 0.027
O 0.476 0.249 0.201
O 0.476 0.251 0.701
O 0.524 0.749 0.299
O 0.524 0.751 0.799
O 0.574 0.249 0.973
O 0.574 0.251 0.473
O 0.667 0.557 0.187
O 0.667 0.943 0.687
O 0.672 0.558 0.700
O 0.672 0.942 0.200
O 0.821 0.249 0.891
O 0.821 0.251 0.391
O 0.859 0.240 0.703
O 0.859 0.260 0.203
O 0.943 0.737 0.571
O 0.943 0.763 0.071

Largest 6 diffraction maxima, low angle first, 10 to 90 degrees two-theta:
Position (°2θ)	I/Imax	hkl
17.24	100	1 1 0
19.34	46	0 0 2
19.93	50	2 0 -2
24.55	39	2 1 -2
25.60	61	1 0 2
28.59	77	0 2 0